NbAl4Zn10: simulated X-ray diffraction stick pattern (Cu Kα (weighted mean of Kα1 and Kα2)), based on a DFT-relaxed cell (PBE, Alexandria).
Peak positions follow from Bragg's law for the DFT cell and can differ from measured ones.

Structural model:
a b c (Å): 6.744 8.659 8.673
angles (deg): 90.00 90.00 90.00
Space group Immm (No. 71)
Inequivalent atoms, fractional coordinates:
Nb 0.000 0.000 0.000
Al 0.000 0.225 0.220
Zn 0.193 0.282 0.500
Zn 0.199 0.500 0.286
Zn 0.219 0.500 0.000

Most intense lines, 2θ from 10° to 80°, low angle first:
two_theta	I/Imax
20.5	19
26.5	37
26.5	24
39.8	100
41.5	40
41.7	72
42.5	40
52.4	31
60.4	16
68.3	21

=====

BaAl3Ir: simulated X-ray diffraction stick pattern (Cu Kα (weighted mean of Kα1 and Kα2)), based on a DFT-relaxed cell (PBE, Alexandria).
Peak positions follow from Bragg's law for the DFT cell and can differ from measured ones.

Structural model:
a b c (Å): 6.418 9.765 7.219
angles (deg): 90.00 90.00 90.00
Space group Imma (No. 74)
Inequivalent atoms, fractional coordinates:
Ba 0.000 0.250 0.092
Al 0.000 0.250 0.582
Al 0.250 0.051 0.750
Ir 0.000 0.000 0.500

Most intense lines, 2θ from 10° to 80°, low angle first:
two_theta	I/Imax
18.5	16
24.7	15
26.0	100
27.8	24
29.8	20
36.8	18
37.5	24
46.8	15
48.1	21
53.6	16

=====

TiV12Ga6: simulated X-ray diffraction stick pattern (Cu Kα (weighted mean of Kα1 and Kα2)), based on a DFT-relaxed cell (PBE, Alexandria).
Peak positions follow from Bragg's law for the DFT cell and can differ from measured ones.

Structural model:
a b c (Å): 9.1691 9.1691 11.2286
angles (deg): 90.00 90.00 120.00
Space group R-3 (No. 148, hexagonal axes)
Inequivalent atoms, fractional coordinates:
Ti 0.0000 0.0000 0.0000
V 0.0480 0.8681 0.8025
V 0.0660 0.2175 0.4145
Ga 0.0256 0.5901 0.7131

Most intense lines, 2θ from 10° to 80°, low angle first:
two_theta	I/Imax
30.8	16
41.8	100
44.2	60
46.5	16
52.8	7
60.6	5
64.3	8
74.6	19
76.3	6
79.6	17

=====

TbNd2Ho5Sc: simulated X-ray diffraction stick pattern (Cu Kα (weighted mean of Kα1 and Kα2)), based on a DFT-relaxed cell (PBE, Alexandria).
Peak positions follow from Bragg's law for the DFT cell and can differ from measured ones.

Structural model:
a b c (Å): 5.553 19.904 10.386
angles (deg): 90.00 90.00 90.00
Space group Cmc2_1 (No. 36)
Inequivalent atoms, fractional coordinates:
Tb 0.000 0.091 0.000
Nd 0.000 0.385 0.276
Nd 0.000 0.387 0.856
Ho 0.000 0.017 0.282
Ho 0.000 0.125 0.561
Ho 0.000 0.202 0.244
Ho 0.000 0.224 0.862
Ho 0.000 0.484 0.559
Sc 0.000 0.304 0.556

Most intense lines, 2θ from 10° to 80°, low angle first:
two_theta	I/Imax
27.1	24
28.2	16
30.8	37
32.2	45
32.6	100
34.5	12
51.9	11
57.7	20
60.0	11
62.5	13

=====

LiC2F8: simulated X-ray diffraction stick pattern (Cu Kα (weighted mean of Kα1 and Kα2)), based on a DFT-relaxed cell (PBE, Alexandria).
Peak positions follow from Bragg's law for the DFT cell and can differ from measured ones.

Structural model:
a b c (Å): 5.3743 5.3743 6.1496
angles (deg): 90.00 90.00 120.00
Space group P-3m1 (No. 164)
Inequivalent atoms, fractional coordinates:
Li 0.0000 0.0000 0.0000
C 0.3333 0.6667 0.2709
F 0.1841 0.3683 0.2063
F 0.3333 0.6667 0.4870

Most intense lines, 2θ from 10° to 80°, low angle first:
two_theta	I/Imax
19.1	8
24.0	100
29.0	12
36.5	13
38.7	17
41.5	22
44.8	9
49.1	12
54.2	8
60.2	9

=====

PrHo3Co: simulated X-ray diffraction stick pattern (Cu Kα (weighted mean of Kα1 and Kα2)), based on a DFT-relaxed cell (PBE, Alexandria).
Peak positions follow from Bragg's law for the DFT cell and can differ from measured ones.

Structural model:
a b c (Å): 13.209 3.734 11.166
angles (deg): 90.00 91.04 90.00
Space group C2/m (No. 12)
Inequivalent atoms, fractional coordinates:
Pr 0.166 0.000 0.091
Ho 0.061 0.000 0.374
Ho 0.065 0.500 0.840
Ho 0.215 0.000 0.636
Co 0.084 0.500 0.560

Most intense lines, 2θ from 10° to 80°, low angle first:
two_theta	I/Imax
29.5	46
31.2	77
31.7	45
32.1	58
32.5	100
34.6	70
41.9	29
48.8	33
59.0	30
59.6	27

=====

La8Tc2Au: simulated X-ray diffraction stick pattern (Cu Kα (weighted mean of Kα1 and Kα2)), based on a DFT-relaxed cell (PBE, Alexandria).
Peak positions follow from Bragg's law for the DFT cell and can differ from measured ones.

Structural model:
a b c (Å): 8.543 13.662 6.231
angles (deg): 90.00 108.14 90.00
Space group Cm (No. 8)
Inequivalent atoms, fractional coordinates:
La 0.000 0.000 0.000
La 0.100 0.366 0.817
La 0.161 0.131 0.624
La 0.245 0.500 0.399
La 0.406 0.221 0.222
Tc 0.321 0.300 0.669
Au 0.376 0.000 0.069

Most intense lines, 2θ from 10° to 80°, low angle first:
two_theta	I/Imax
28.9	51
29.5	53
30.2	100
30.3	75
32.5	73
33.0	51
34.1	39
34.3	84
36.5	65
52.1	38

=====

Sr5Cd5P6O24F2: simulated X-ray diffraction stick pattern (Cu Kα (weighted mean of Kα1 and Kα2)), based on a DFT-relaxed cell (PBE, Alexandria).
Peak positions follow from Bragg's law for the DFT cell and can differ from measured ones.

Structural model:
a b c (Å): 9.655 7.041 9.724
angles (deg): 90.00 119.48 90.00
Space group Pm (No. 6)
Inequivalent atoms, fractional coordinates:
Sr 0.000 0.000 0.000
Sr 0.014 0.500 0.756
Sr 0.510 0.500 0.521
Sr 0.746 0.000 0.518
Sr 0.769 0.500 0.005
Cd 0.085 0.252 0.421
Cd 0.430 0.248 0.096
Cd 0.485 0.000 0.740
P 0.134 0.000 0.736
P 0.164 0.500 0.137
P 0.350 0.000 0.380
P 0.388 0.500 0.782
P 0.730 0.500 0.356
P 0.787 0.000 0.170
O 0.023 0.174 0.693
O 0.097 0.324 0.029
O 0.111 0.500 0.266
O 0.164 0.000 0.302
O 0.214 0.000 0.628
O 0.250 0.500 0.607
O 0.262 0.000 0.914
O 0.318 0.500 0.898
O 0.350 0.500 0.215
O 0.403 0.000 0.252
O 0.416 0.176 0.488
O 0.497 0.323 0.816
O 0.604 0.000 0.113
O 0.631 0.500 0.170
O 0.684 0.323 0.418
O 0.836 0.178 0.111
O 0.887 0.000 0.356
O 0.914 0.500 0.414
F 0.732 0.000 0.766
F 0.767 0.500 0.756

Most intense lines, 2θ from 10° to 80°, low angle first:
two_theta	I/Imax
27.5	68
27.9	52
30.7	90
30.9	45
31.0	39
31.3	100
31.5	49
31.7	41
31.9	46
32.1	38

=====

Tb3Si6Ni2Au: simulated X-ray diffraction stick pattern (Cu Kα (weighted mean of Kα1 and Kα2)), based on a DFT-relaxed cell (PBE, Alexandria).
Peak positions follow from Bragg's law for the DFT cell and can differ from measured ones.

Structural model:
a b c (Å): 5.6635 5.6635 8.1238
angles (deg): 90.00 90.00 120.00
Space group P-3m1 (No. 164)
Inequivalent atoms, fractional coordinates:
Tb 0.0000 0.0000 0.0000
Tb 0.3333 0.6667 0.6032
Si 0.1905 0.3811 0.2689
Ni 0.3333 0.6667 0.0382
Au 0.0000 0.0000 0.5000

Most intense lines, 2θ from 10° to 80°, low angle first:
two_theta	I/Imax
10.9	22
21.9	21
28.5	70
31.6	100
38.8	73
43.1	35
48.5	29
54.4	20
61.1	20
68.5	25

=====

Pr7Hg: simulated X-ray diffraction stick pattern (Cu Kα (weighted mean of Kα1 and Kα2)), based on a DFT-relaxed cell (PBE, Alexandria).
Peak positions follow from Bragg's law for the DFT cell and can differ from measured ones.

Structural model:
a b c (Å): 5.053 5.053 21.092
angles (deg): 90.00 90.00 90.00
Space group I4/mmm (No. 139)
Inequivalent atoms, fractional coordinates:
Pr 0.000 0.000 0.000
Pr 0.000 0.000 0.249
Pr 0.000 0.500 0.121
Hg 0.000 0.000 0.500

Most intense lines, 2θ from 10° to 80°, low angle first:
two_theta	I/Imax
30.2	100
34.0	18
35.5	33
50.0	24
51.1	12
58.5	15
60.5	28
62.8	12
71.6	2
75.2	4

=====

Pu2AuC: simulated X-ray diffraction stick pattern (Cu Kα (weighted mean of Kα1 and Kα2)), based on a DFT-relaxed cell (PBE, Alexandria).
Peak positions follow from Bragg's law for the DFT cell and can differ from measured ones.

Structural model:
a b c (Å): 3.2622 3.2622 27.0377
angles (deg): 90.00 90.00 120.00
Space group R-3m (No. 166, hexagonal axes)
Inequivalent atoms, fractional coordinates:
Pu 0.0000 0.0000 0.1118
Au 0.0000 0.0000 0.0000
C 0.0000 0.0000 0.5000

Most intense lines, 2θ from 10° to 80°, low angle first:
two_theta	I/Imax
29.7	57
31.8	100
32.4	27
34.4	15
35.9	15
39.5	15
41.7	55
46.5	37
56.4	31
65.1	39

=====

AcPaSnBi: simulated X-ray diffraction stick pattern (Cu Kα (weighted mean of Kα1 and Kα2)), based on a DFT-relaxed cell (PBE, Alexandria).
Peak positions follow from Bragg's law for the DFT cell and can differ from measured ones.

Structural model:
a b c (Å): 7.934 7.934 7.934
angles (deg): 90.00 90.00 90.00
Space group F-43m (No. 216)
Inequivalent atoms, fractional coordinates:
Ac 0.000 0.000 0.000
Pa 0.000 0.000 0.500
Sn 0.250 0.250 0.250
Bi 0.250 0.250 0.750

Most intense lines, 2θ from 10° to 80°, low angle first:
two_theta	I/Imax
19.4	3
22.4	3
31.9	100
37.6	2
39.3	1
45.7	19
51.5	1
56.8	40
66.7	13
75.8	18